Diffraction record for Sm4P6Rh7. The powder diffraction line list is simulated, not measured: it uses a structure optimized by DFT (PBE) and λ = 1.5418 Å (Cu Kα).
No peak broadening, texture or thermal motion is included.

Peak list (10 most intense, 2θ = 10–90°, low angle first)
- 26.28 deg, rel. 25
- 30.44 deg, rel. 41
- 37.51 deg, rel. 100
- 40.65 deg, rel. 31
- 43.59 deg, rel. 67
- 51.62 deg, rel. 13
- 54.10 deg, rel. 12
- 63.35 deg, rel. 39
- 76.01 deg, rel. 32
- 80.05 deg, rel. 12

Atomic structure:
```
Sm4P6Rh7
1.0
-4.153 4.153 4.153
4.153 -4.153 4.153
4.153 4.153 -4.153
Sm P Rh
4 6 7
Cartesian
2.076 2.076 -2.076 Sm
2.076 -2.076 2.076 Sm
-2.076 2.076 2.076 Sm
2.076 2.076 2.076 Sm
2.726 0.000 0.000 P
5.579 0.000 0.000 P
0.000 2.726 0.000 P
0.000 0.000 2.726 P
0.000 5.579 0.000 P
0.000 0.000 5.579 P
0.000 0.000 0.000 Rh
4.153 2.076 0.000 Rh
4.153 0.000 2.076 Rh
2.076 4.153 0.000 Rh
2.076 0.000 4.153 Rh
0.000 4.153 2.076 Rh
0.000 2.076 4.153 Rh
```